(1)
Simulated X-ray powder pattern of Cs4Sn2Te7 for copper Kα, from a crystal structure in the Materials Project, relaxed with GGA-PBE.
Intensities are scaled so that the largest is 100.

Top 10 peaks for 15 to 90 degrees two-theta, sorted by position:
two_theta, I/Imax
21.33, 35
22.08, 70
24.03, 38
24.23, 100
24.72, 60
27.48, 62
29.14, 40
33.04, 42
33.38, 47
43.43, 32

Structure:
Lattice parameters (Å, degrees): 9.3542 9.3542 19.6309 104.18 104.18 50.99
Sites, in units of the cell vectors:
Cs (0.0264, 0.4620, 0.8524)
Cs (0.1394, 0.6801, 0.5616)
Cs (0.3199, 0.8606, 0.9384)
Cs (0.4620, 0.0264, 0.3524)
Cs (0.5380, 0.9736, 0.6476)
Cs (0.6801, 0.1394, 0.0616)
Cs (0.8606, 0.3199, 0.4384)
Cs (0.9736, 0.5380, 0.1476)
Sn (0.2203, 0.6869, 0.3462)
Sn (0.3131, 0.7797, 0.1538)
Sn (0.6869, 0.2203, 0.8462)
Sn (0.7797, 0.3131, 0.6538)
Te (0.0035, 0.5913, 0.3563)
Te (0.0425, 0.9575, 0.2500)
Te (0.1914, 0.6399, 0.0363)
Te (0.3585, 0.4904, 0.7644)
Te (0.3601, 0.8086, 0.4637)
Te (0.4087, 0.9965, 0.1437)
Te (0.4904, 0.3585, 0.2644)
Te (0.5096, 0.6415, 0.7356)
Te (0.5913, 0.0035, 0.8563)
Te (0.6399, 0.1914, 0.5363)
Te (0.6415, 0.5096, 0.2356)
Te (0.8086, 0.3601, 0.9637)
Te (0.9575, 0.0425, 0.7500)
Te (0.9965, 0.4087, 0.6437)

(2)
Simulated X-ray powder pattern of CsTe for copper Kα, from a crystal structure in the Materials Project, relaxed with GGA-PBE.
Intensities are scaled so that the largest is 100.

Top 10 peaks for 15 to 90 degrees two-theta, sorted by position:
two_theta, I/Imax
23.63, 38
27.05, 100
29.24, 21
30.24, 21
35.16, 20
36.43, 17
47.04, 12
47.29, 15
51.52, 17
58.30, 13

Structure:
Lattice parameters (Å, degrees): 6.3234 11.8224 5.1041 90.00 90.00 90.00
Sites, in units of the cell vectors:
Cs (0.1780, 0.1358, 0.0000)
Cs (0.3220, 0.6358, 0.0000)
Cs (0.6780, 0.3642, 0.0000)
Cs (0.8220, 0.8642, 0.0000)
Te (0.1353, 0.4046, 0.5000)
Te (0.3647, 0.9046, 0.5000)
Te (0.6353, 0.0954, 0.5000)
Te (0.8647, 0.5954, 0.5000)

(3)
Simulated X-ray powder pattern of CsTe4 for copper Kα, from a crystal structure in the Materials Project, relaxed with GGA-PBE.
Intensities are scaled so that the largest is 100.

Top 10 peaks for 15 to 90 degrees two-theta, sorted by position:
two_theta, I/Imax
24.31, 67
24.46, 35
25.84, 100
27.20, 82
27.34, 56
27.84, 36
30.52, 38
36.15, 64
46.36, 34
51.25, 29

Structure:
Lattice parameters (Å, degrees): 8.1754 7.3429 14.2728 90.00 93.59 90.00
Sites, in units of the cell vectors:
Cs (0.1438, 0.1207, 0.3522)
Cs (0.1438, 0.3793, 0.8522)
Cs (0.8562, 0.6207, 0.1478)
Cs (0.8562, 0.8793, 0.6478)
Te (0.1289, 0.6082, 0.4681)
Te (0.1289, 0.8918, 0.9681)
Te (0.3502, 0.5175, 0.2132)
Te (0.3502, 0.9825, 0.7132)
Te (0.3776, 0.5589, 0.6255)
Te (0.3776, 0.9411, 0.1255)
Te (0.4634, 0.1939, 0.5670)
Te (0.4634, 0.3061, 0.0670)
Te (0.5366, 0.6939, 0.9330)
Te (0.5366, 0.8061, 0.4330)
Te (0.6224, 0.0589, 0.8745)
Te (0.6224, 0.4411, 0.3745)
Te (0.6498, 0.0175, 0.2868)
Te (0.6498, 0.4825, 0.7868)
Te (0.8711, 0.1082, 0.0319)
Te (0.8711, 0.3918, 0.5319)

(4)
Simulated X-ray powder pattern of Cs2Te for copper Kα, from a crystal structure in the Materials Project, relaxed with GGA-PBE.
Intensities are scaled so that the largest is 100.

Top 10 peaks for 15 to 90 degrees two-theta, sorted by position:
two_theta, I/Imax
23.40, 72
23.98, 35
24.81, 24
25.20, 100
27.52, 59
29.13, 36
30.21, 53
32.12, 25
44.98, 25
50.93, 34

Structure:
Lattice parameters (Å, degrees): 9.5270 5.9165 11.6213 90.00 90.00 90.00
Sites, in units of the cell vectors:
Cs (0.0229, 0.2500, 0.1747)
Cs (0.1504, 0.2500, 0.5731)
Cs (0.3496, 0.7500, 0.0731)
Cs (0.4771, 0.7500, 0.6747)
Cs (0.5229, 0.2500, 0.3253)
Cs (0.6504, 0.2500, 0.9269)
Cs (0.8496, 0.7500, 0.4269)
Cs (0.9771, 0.7500, 0.8253)
Te (0.2466, 0.2500, 0.8882)
Te (0.2534, 0.7500, 0.3882)
Te (0.7466, 0.2500, 0.6118)
Te (0.7534, 0.7500, 0.1118)

(5)
Simulated X-ray powder pattern of Cs3Tm11Te18 for copper Kα, from a crystal structure in the Materials Project, relaxed with GGA-PBE.
Intensities are scaled so that the largest is 100.

Top 10 peaks for 15 to 90 degrees two-theta, sorted by position:
two_theta, I/Imax
25.82, 100
26.50, 49
26.84, 32
27.17, 39
30.98, 36
31.43, 19
32.87, 60
37.66, 26
39.65, 49
41.40, 65

Structure:
Lattice parameters (Å, degrees): 13.4860 13.4860 20.2401 100.03 100.03 19.41
Sites, in units of the cell vectors:
Cs (0.0000, 0.0000, 0.0000)
Cs (0.3045, 0.3045, 0.4086)
Cs (0.6955, 0.6955, 0.5914)
Tm (0.0324, 0.0324, 0.7598)
Tm (0.0933, 0.0933, 0.3733)
Tm (0.2024, 0.2024, 0.0698)
Tm (0.3374, 0.3374, 0.1828)
Tm (0.3464, 0.3464, 0.7749)
Tm (0.5000, 0.5000, 0.5000)
Tm (0.6536, 0.6536, 0.2251)
Tm (0.6626, 0.6626, 0.8172)
Tm (0.7976, 0.7976, 0.9302)
Tm (0.9067, 0.9067, 0.6267)
Tm (0.9676, 0.9676, 0.2402)
Te (0.0771, 0.0771, 0.2186)
Te (0.0794, 0.0794, 0.5154)
Te (0.1353, 0.1353, 0.7212)
Te (0.2095, 0.2095, 0.9220)
Te (0.2308, 0.2308, 0.2223)
Te (0.3294, 0.3294, 0.6213)
Te (0.3702, 0.3702, 0.9290)
Te (0.4401, 0.4401, 0.1427)
Te (0.4934, 0.4934, 0.6499)
Te (0.5066, 0.5066, 0.3501)
Te (0.5599, 0.5599, 0.8573)
Te (0.6298, 0.6298, 0.0710)
Te (0.6706, 0.6706, 0.3787)
Te (0.7692, 0.7692, 0.7777)
Te (0.7905, 0.7905, 0.0780)
Te (0.8647, 0.8647, 0.2788)
Te (0.9206, 0.9206, 0.4846)
Te (0.9229, 0.9229, 0.7814)